Structure and computed powder X-ray diffraction pattern of HoUSe2O (a PBE-relaxed structure; Cu Kα (λ = 1.5418 Å)).
Kinematic intensities with the Lorentz-polarization factor, no thermal factor.

Principal peaks in the range 2θ from 10° to 90°, by intensity:
d/Å  intensity
2.794  100
3.435  63
2.610  57
2.178  46
1.976  42
3.477  34
3.007  28
1.575  25
1.784  24
6.954  21

Structure:
```
data_HoUSe2O
_chemical_formula_sum 'Ho2 U2 Se4 O2'
_symmetry_space_group_name_H-M 'P 4/n m m'
_symmetry_Int_Tables_number 129
_cell_length_a 3.951
_cell_length_b 3.951
_cell_length_c 13.908
_cell_angle_alpha 90.00
_cell_angle_beta 90.00
_cell_angle_gamma 90.00
loop_
_symmetry_equiv_pos_as_xyz
'x,y,z'
'-x,-y,-z'
'-y+1/2,x,z'
'y+1/2,-x,-z'
'-x+1/2,-y+1/2,z'
'x+1/2,y+1/2,-z'
'y,-x+1/2,z'
'-y,x+1/2,-z'
'x+1/2,-y,-z'
'-x+1/2,y,z'
'-y,-x,-z'
'y,x,z'
'-x,y+1/2,-z'
'x,-y+1/2,z'
'y+1/2,x+1/2,-z'
'-y+1/2,-x+1/2,z'
loop_
_atom_site_label
_atom_site_type_symbol
_atom_site_fract_x
_atom_site_fract_y
_atom_site_fract_z
Ho1 Ho 0.250 0.250 0.102
U1 U 0.250 0.250 0.590
Se1 Se 0.250 0.250 0.308
Se2 Se 0.250 0.250 0.891
O1 O 0.250 0.750 0.500
```

---

Structure and computed powder X-ray diffraction pattern of HoSi2O5 (a PBE-relaxed structure; Cu Kα (λ = 1.5418 Å)).
Kinematic intensities with the Lorentz-polarization factor, no thermal factor.

Principal peaks in the range 2θ from 10° to 90°, by intensity:
d/Å  intensity
5.675  100
3.725  97
2.708  78
1.882  47
2.245  42
2.520  41
2.460  33
3.238  23
2.788  21
1.760  20

Structure:
```
data_HoSi2O5
_chemical_formula_sum 'Ho2 Si4 O10'
_symmetry_space_group_name_H-M 'P m m n'
_symmetry_Int_Tables_number 59
_cell_length_a 3.379
_cell_length_b 11.350
_cell_length_c 4.937
_cell_angle_alpha 90.00
_cell_angle_beta 90.00
_cell_angle_gamma 90.00
loop_
_symmetry_equiv_pos_as_xyz
'x,y,z'
'-x,-y,-z'
'-x+1/2,-y+1/2,z'
'x+1/2,y+1/2,-z'
'x+1/2,-y,-z'
'-x+1/2,y,z'
'-x,y+1/2,-z'
'x,-y+1/2,z'
loop_
_atom_site_label
_atom_site_type_symbol
_atom_site_fract_x
_atom_site_fract_y
_atom_site_fract_z
Ho1 Ho 0.250 0.250 0.067
Si1 Si 0.250 0.604 0.446
O1 O 0.250 0.078 0.436
O2 O 0.250 0.634 0.123
O3 O 0.250 0.750 0.597
```

---

Structure and computed powder X-ray diffraction pattern of Ho2SiO6 (a PBE-relaxed structure; Cu Kα (λ = 1.5418 Å)).
Kinematic intensities with the Lorentz-polarization factor, no thermal factor.

Principal peaks in the range 2θ from 10° to 90°, by intensity:
d/Å  intensity
3.427  100
2.688  83
1.800  72
4.335  30
2.423  26
1.445  24
1.461  20
2.798  19
1.714  19
1.241  16

Structure:
```
data_Ho2SiO6
_chemical_formula_sum 'Ho4 Si2 O12'
_symmetry_space_group_name_H-M 'P 42/m n m'
_symmetry_Int_Tables_number 136
_symmetry_space_group_name_Hall '-P 4n 2n'
_cell_length_a 4.847
_cell_length_b 4.847
_cell_length_c 9.690
_cell_angle_alpha 90.00
_cell_angle_beta 90.00
_cell_angle_gamma 90.00
loop_
_atom_site_label
_atom_site_type_symbol
_atom_site_fract_x
_atom_site_fract_y
_atom_site_fract_z
Ho1 Ho 0.000 0.000 0.170
Si1 Si 0.000 0.000 0.500
O1 O 0.180 0.180 0.364
O2 O 0.240 0.240 0.000
```

---

Structure and computed powder X-ray diffraction pattern of Ho2SiO (a PBE-relaxed structure; Cu Kα (λ = 1.5418 Å)).
Kinematic intensities with the Lorentz-polarization factor, no thermal factor.

Principal peaks in the range 2θ from 10° to 90°, by intensity:
d/Å  intensity
3.094  100
3.240  93
2.803  61
2.842  60
2.596  47
1.996  43
1.905  33
1.855  19
1.547  19
1.669  15

Structure:
```
data_Ho2SiO
_chemical_formula_sum 'Ho8 Si4 O4'
_symmetry_space_group_name_H-M 'P 1 2/c 1'
_symmetry_Int_Tables_number 13
_cell_length_a 5.697
_cell_length_b 5.606
_cell_length_c 11.522
_cell_angle_alpha 90.00
_cell_angle_beta 115.67
_cell_angle_gamma 90.00
loop_
_symmetry_equiv_pos_as_xyz
'x,y,z'
'-x,-y,-z'
'-x,y,-z+1/2'
'x,-y,z+1/2'
loop_
_atom_site_label
_atom_site_type_symbol
_atom_site_fract_x
_atom_site_fract_y
_atom_site_fract_z
Ho1 Ho 0.092 0.219 0.106
Ho2 Ho 0.314 0.230 0.858
Si1 Si 0.391 0.270 0.374
O1 O 0.053 0.178 0.622
```

---

Structure and computed powder X-ray diffraction pattern of HoSiO3 (a PBE-relaxed structure; Cu Kα (λ = 1.5418 Å)).
Kinematic intensities with the Lorentz-polarization factor, no thermal factor.

Principal peaks in the range 2θ from 10° to 90°, by intensity:
d/Å  intensity
2.766  100
4.898  81
3.104  50
1.976  50
2.560  49
2.689  47
3.349  30
1.468  21
1.883  20
2.449  20

Structure:
```
data_HoSiO3
_chemical_formula_sum 'Ho2 Si2 O6'
_symmetry_space_group_name_H-M 'P 1 21/m 1'
_symmetry_Int_Tables_number 11
_cell_length_a 3.509
_cell_length_b 6.698
_cell_length_c 4.908
_cell_angle_alpha 90.00
_cell_angle_beta 93.53
_cell_angle_gamma 90.00
loop_
_symmetry_equiv_pos_as_xyz
'x,y,z'
'-x,-y,-z'
'-x,y+1/2,-z'
'x,-y+1/2,z'
loop_
_atom_site_label
_atom_site_type_symbol
_atom_site_fract_x
_atom_site_fract_y
_atom_site_fract_z
Ho1 Ho 0.178 0.250 0.492
Si1 Si 0.500 0.000 0.000
O1 O 0.239 0.548 0.274
O2 O 0.369 0.750 0.840
```

---

Structure and computed powder X-ray diffraction pattern of SmHoO3 (a PBE-relaxed structure; Cu Kα (λ = 1.5418 Å)).
Kinematic intensities with the Lorentz-polarization factor, no thermal factor.

Principal peaks in the range 2θ from 10° to 90°, by intensity:
d/Å  intensity
5.230  100
3.019  74
2.161  72
2.662  24
1.519  23
1.997  21
3.093  20
1.743  15
1.977  15
1.376  14

Structure:
```
data_SmHoO3
_chemical_formula_sum 'Sm1 Ho1 O3'
_symmetry_space_group_name_H-M 'P -6 m 2'
_symmetry_Int_Tables_number 187
_symmetry_space_group_name_Hall 'P -6 2'
_cell_length_a 6.0387
_cell_length_b 6.0387
_cell_length_c 3.0931
_cell_angle_alpha 90.00
_cell_angle_beta 90.00
_cell_angle_gamma 120.00
loop_
_atom_site_label
_atom_site_type_symbol
_atom_site_fract_x
_atom_site_fract_y
_atom_site_fract_z
Sm1 Sm 0.0000 0.0000 0.0000
Ho1 Ho 0.3333 0.6667 0.0000
O1 O 0.1706 0.3412 0.5000
```

---

What did the fifth record say?
Structure and computed powder X-ray diffraction pattern of HoSiO3 (a PBE-relaxed structure; Cu Kα (λ = 1.5418 Å)).
Kinematic intensities with the Lorentz-polarization factor, no thermal factor.

Principal peaks in the range 2θ from 10° to 90°, by intensity:
d/Å  intensity
2.766  100
4.898  81
3.104  50
1.976  50
2.560  49
2.689  47
3.349  30
1.468  21
1.883  20
2.449  20

Structure:
```
data_HoSiO3
_chemical_formula_sum 'Ho2 Si2 O6'
_symmetry_space_group_name_H-M 'P 1 21/m 1'
_symmetry_Int_Tables_number 11
_cell_length_a 3.509
_cell_length_b 6.698
_cell_length_c 4.908
_cell_angle_alpha 90.00
_cell_angle_beta 93.53
_cell_angle_gamma 90.00
loop_
_symmetry_equiv_pos_as_xyz
'x,y,z'
'-x,-y,-z'
'-x,y+1/2,-z'
'x,-y+1/2,z'
loop_
_atom_site_label
_atom_site_type_symbol
_atom_site_fract_x
_atom_site_fract_y
_atom_site_fract_z
Ho1 Ho 0.178 0.250 0.492
Si1 Si 0.500 0.000 0.000
O1 O 0.239 0.548 0.274
O2 O 0.369 0.750 0.840
```

---

What is the formula in the fourth record?
Ho2SiO